(1)
Simulated XRD peak list of CeHoTi for Cu Kα (weighted mean of Kα1 and Kα2), from the PBE geometry in Alexandria.
Kinematic intensities with the Lorentz-polarization factor, no thermal factor.

Crystal structure
```
CeHoTi
1.0
3.4878 0.0000 0.0000
0.0000 3.4731 0.0000
-0.0015 0.0000 12.4980
Ce Ho Ti
2 2 2
Cartesian
0.8667 0.8683 3.6740
2.6196 2.6048 8.8240
0.8741 0.8683 11.1864
2.6122 2.6048 1.3116
0.8728 0.8683 6.9431
2.6134 2.6048 5.5550
```

Principal peaks in the range 10 to 90 degrees two-theta, sorted by position:
Position (°2θ), d/Å, I (rel.)
29.37, 3.041, 70
33.55, 2.671, 100
35.93, 2.500, 21
36.51, 2.461, 60
52.16, 1.754, 30
58.05, 1.589, 12
63.76, 1.460, 15
63.92, 1.456, 15
65.47, 1.426, 20
88.61, 1.104, 13



(2)
Simulated XRD peak list of Cd2Ag3Pd7 for Cu Kα (weighted mean of Kα1 and Kα2), from the PBE geometry in Alexandria.
Kinematic intensities with the Lorentz-polarization factor, no thermal factor.

Crystal structure
```
Cd2Ag3Pd7
1.0
4.6328 0.0000 0.0000
0.0000 2.8735 0.0000
-0.9622 0.0000 15.8127
Cd Ag Pd
2 3 7
Cartesian
0.6686 0.0000 4.5585
3.0019 0.0000 11.2542
0.0000 0.0000 0.0000
0.6781 1.4368 9.7642
2.9924 1.4368 6.0485
0.7107 1.4368 2.2717
0.6776 0.0000 7.2122
0.6503 0.0000 13.3097
2.3164 1.4368 0.0000
3.0202 0.0000 2.5030
2.9929 0.0000 8.6005
2.9598 1.4368 13.5410
```

Principal peaks in the range 10 to 90 degrees two-theta, sorted by position:
Position (°2θ), d/Å, I (rel.)
35.34, 2.540, 11
38.25, 2.353, 38
38.74, 2.324, 15
38.98, 2.311, 100
39.92, 2.258, 23
40.22, 2.242, 13
40.41, 2.232, 13
42.92, 2.107, 13
46.25, 1.963, 19
64.90, 1.437, 12



(3)
Simulated XRD peak list of Sr5Bi3O12 for Cu Kα (weighted mean of Kα1 and Kα2), from the PBE geometry in Alexandria.
Kinematic intensities with the Lorentz-polarization factor, no thermal factor.

Crystal structure
```
Sr5Bi3O12
1.0
6.0238 0.0000 0.0000
0.0023 6.2002 0.0000
0.0262 0.0726 8.6012
Sr Bi O
5 3 12
Cartesian
0.0000 0.0000 0.0000
0.1196 3.4761 6.5156
2.9657 0.3563 6.4965
3.0867 5.9165 2.1047
5.9328 2.7967 2.0856
0.0131 0.0363 4.3006
3.0131 3.1001 0.0000
3.0262 3.1364 4.3006
0.6627 0.3094 2.3331
1.2750 1.7903 4.8780
1.2932 2.0815 8.2003
1.7437 4.9310 4.8165
2.0094 4.9542 8.1532
2.3677 3.4001 2.1587
3.6846 2.8727 6.4426
4.0430 1.3187 0.4481
4.3087 1.3419 3.7847
4.7591 4.1913 0.4010
4.7774 4.4825 3.7232
5.3896 5.9634 6.2681
```

Principal peaks in the range 10 to 90 degrees two-theta, sorted by position:
Position (°2θ), d/Å, I (rel.)
20.59, 4.314, 59
28.80, 3.100, 47
29.21, 3.057, 100
29.39, 3.039, 100
29.66, 3.012, 46
41.82, 2.160, 47
42.02, 2.150, 25
51.51, 1.774, 29
52.24, 1.751, 23
52.39, 1.746, 36



(4)
Simulated XRD peak list of Ce2Ho2Er5 for Cu Kα (weighted mean of Kα1 and Kα2), from the PBE geometry in Alexandria.
Kinematic intensities with the Lorentz-polarization factor, no thermal factor.

Crystal structure
```
Ce2Ho2Er5
1.0
8.1943 -2.7840 0.0000
8.1943 2.7840 0.0000
-2.3606 0.0000 6.0800
Ce Ho Er
2 2 5
Cartesian
0.1255 0.0000 2.9771
13.9025 0.0000 3.1029
6.6511 0.0000 1.3372
7.3769 0.0000 4.7428
0.0000 0.0000 0.0000
3.2611 0.0000 0.3617
3.7248 0.0000 3.9298
10.3032 0.0000 2.1502
10.7669 0.0000 5.7183
```

Principal peaks in the range 10 to 90 degrees two-theta, sorted by position:
Position (°2θ), d/Å, I (rel.)
31.14, 2.872, 14
31.93, 2.803, 91
32.16, 2.783, 100
45.90, 1.977, 17
46.05, 1.971, 13
56.69, 1.624, 8
57.17, 1.611, 17
57.31, 1.608, 30
66.80, 1.401, 6
67.28, 1.392, 9



(5)
Simulated XRD peak list of CsTl3In for Cu Kα (weighted mean of Kα1 and Kα2), from the PBE geometry in Alexandria.
Kinematic intensities with the Lorentz-polarization factor, no thermal factor.

Crystal structure
```
CsTl3In
1.0
8.1254 -5.8950 0.0000
8.1254 5.8950 0.0000
-1.7341 0.0000 7.6647
Cs Tl In
4 12 4
Cartesian
6.8249 5.7539 5.7485
7.6919 1.7283 1.9162
6.8249 -1.7283 5.7485
7.6919 -5.7539 1.9162
1.9348 2.0049 4.5996
2.9990 1.9169 0.6698
4.2719 0.1360 3.1285
3.4049 -0.1360 6.9609
2.8018 -2.0049 0.7673
2.1320 -1.9169 4.5021
12.3848 1.9169 3.1625
11.7150 2.0049 6.8974
11.1119 0.1360 0.7038
10.2449 -0.1360 4.5361
11.5178 -1.9169 6.9949
12.5820 -2.0049 3.0650
5.2958 2.0086 5.5457
8.3540 2.0086 5.9513
6.1628 -2.0086 1.7134
9.2210 -2.0086 2.1190
```

Principal peaks in the range 10 to 90 degrees two-theta, sorted by position:
Position (°2θ), d/Å, I (rel.)
11.16, 7.925, 58
28.01, 3.186, 49
28.30, 3.153, 80
28.61, 3.120, 35
32.22, 2.778, 100
33.97, 2.639, 17
36.02, 2.493, 16
36.41, 2.467, 32
46.21, 1.965, 35
54.74, 1.677, 16